The following is a theoretical powder X-ray diffraction pattern of Sr2MgCuWO6. It was derived from a structure optimized by DFT (GGA+U), using Cu Kα.
Neutral-atom scattering factors, no anomalous dispersion.

Main lines, by intensity (2θ = 15–90°):
- 30.99°, I 100, (0 2 -1)
- 25.24°, I 97, (1 -1 1)
- 25.41°, I 94, (-1 1 1)
- 16.81°, I 69, (0 0 1)
- 18.06°, I 53, (1 0 -1)
- 32.05°, I 52, (2 0 -1)

```
11
Lattice="5.8128 0.0000 0.0000 -1.6600 5.7720 0.0000 -2.0147 -2.8614 5.2754" Properties=species:S:1:pos:R:3 pbc="T T T"
Sr 0.0417 0.0312 1.9380
Sr 2.0965 2.8795 3.3374
Mg 2.0764 2.8860 0.0000
Cu 2.9064 0.0000 0.0000
W -0.8300 2.8860 0.0000
O -1.4775 -0.3957 3.9184
O -2.3248 2.0097 5.2598
O 0.6573 2.4612 1.3571
O 1.4808 0.4494 3.9183
O 4.4629 0.9010 0.0156
O 3.6157 3.3063 1.3570
```